1.
The following is a simulated PXRD pattern of YTmTe6. It was derived from a structure optimized by DFT (PBE), using Cu Kα (λ = 1.5418 Å).
Peak positions follow from Bragg's law for the DFT cell and can differ from measured ones.

abc: 4.3352 4.3332 26.7292
angles: 90.00 90.00 90.00
Positions (direct):
Y  0.0000  0.0000  0.0000
Y  0.0000  0.5000  0.5000
Tm  0.5000  0.0000  0.6537
Tm  0.5000  0.5000  0.1537
Te  0.0000  0.0000  0.1197
Te  0.0000  0.0000  0.4057
Te  0.0000  0.0000  0.7467
Te  0.0000  0.5000  0.2467
Te  0.0000  0.5000  0.6197
Te  0.0000  0.5000  0.9057
Te  0.5000  0.0000  0.2468
Te  0.5000  0.0000  0.5355
Te  0.5000  0.0000  0.9058
Te  0.5000  0.5000  0.0355
Te  0.5000  0.5000  0.4058
Te  0.5000  0.5000  0.7468

Main lines, low angle first (2θ from 5° to 70°):
2theta	Rel. int.
6.61	21
13.25	14
26.68	31
30.85	100
33.71	30
37.63	29
41.68	44
50.18	22
60.41	15
69.37	19

2.
The following is a simulated PXRD pattern of La4Pm3Hg3N2. It was derived from a structure optimized by DFT (PBE), using Cu Kα (λ = 1.5418 Å).
Peak positions follow from Bragg's law for the DFT cell and can differ from measured ones.

abc: 12.9984 12.9984 12.9984
angles: 157.44 157.14 32.34
Positions (direct):
La  0.0954  0.0954  0.0000
La  0.3010  0.8010  0.5000
La  0.6990  0.1990  0.5000
La  0.9046  0.9046  0.0000
Pm  0.4044  0.4044  0.0000
Pm  0.5000  0.0000  0.5000
Pm  0.5956  0.5956  0.0000
Hg  0.0000  0.5000  0.5000
Hg  0.1742  0.6742  0.5000
Hg  0.8258  0.3258  0.5000
N  0.3988  0.8988  0.5000
N  0.6012  0.1012  0.5000

Main lines, low angle first (2θ from 5° to 70°):
2theta	Rel. int.
24.60	14
28.51	40
32.79	100
34.83	32
35.29	31
35.97	16
50.43	23
61.16	17
61.77	17
63.49	12

3.
The following is a simulated PXRD pattern of Th2SiAs. It was derived from a structure optimized by DFT (PBE), using Cu Kα (λ = 1.5418 Å).
Peak positions follow from Bragg's law for the DFT cell and can differ from measured ones.

abc: 6.0219 6.0219 12.0872
angles: 90.00 90.00 90.00
Positions (direct):
Th  0.0000  0.2496  0.1230
Th  0.0000  0.2504  0.6270
Th  0.0000  0.7496  0.3730
Th  0.0000  0.7504  0.8770
Th  0.5000  0.2496  0.3770
Th  0.5000  0.2504  0.8730
Th  0.5000  0.7496  0.1270
Th  0.5000  0.7504  0.6230
Si  0.0000  0.2504  0.8750
Si  0.0000  0.7496  0.1250
Si  0.5000  0.2504  0.6250
Si  0.5000  0.7496  0.3750
As  0.0000  0.2495  0.3750
As  0.0000  0.7505  0.6250
As  0.5000  0.2495  0.1250
As  0.5000  0.7505  0.8750

Main lines, low angle first (2θ from 5° to 70°):
2theta	Rel. int.
25.59	93
29.56	44
29.67	87
42.40	100
50.09	16
50.23	32
52.58	36
67.71	13
69.62	16
69.82	31